(1)
Pr2Sn5: calculated powder diffractogram (Cu Kα), based on a cell relaxed with PBE.
Lines closer than 0.1° are merged.

Atomic structure:
Unit cell a=4.6206 b=36.1010 c=4.6674 alpha=90.00 beta=90.00 gamma=90.00
Space group Cmmm (No. 65)
Symmetry-distinct sites (fractional):
Pr (0.0000, 0.0686, 0.0000)
Pr (0.0000, 0.2037, 0.0000)
Sn (0.0000, 0.0000, 0.5000)
Sn (0.0000, 0.1390, 0.5000)
Sn (0.0000, 0.2779, 0.5000)
Sn (0.0000, 0.3608, 0.0000)
Sn (0.0000, 0.4267, 0.5000)
Sn (0.0000, 0.5000, 0.0000)

Most intense lines, 15° ≤ 2θ ≤ 90°, in order of rising 2θ:
2θ 32.32, rel. 100, hkl 1 7 1; 2θ 34.79, rel. 17, hkl 0 14 0; 2θ 38.58, rel. 17, hkl 0 0 2; 2θ 38.99, rel. 16, hkl 2 0 0; 2θ 52.92, rel. 11, hkl 0 14 2; 2θ 56.01, rel. 11, hkl 2 0 2; 2θ 60.82, rel. 10, hkl 1 21 1; 2θ 65.90, rel. 15, hkl 1 7 3; 2θ 66.44, rel. 13, hkl 3 7 1; 2θ 67.65, rel. 10, hkl 2 14 2

***

(2)
Pr3Sn: calculated powder diffractogram (Cu Kα), based on a cell relaxed with PBE.
Lines closer than 0.1° are merged.

Atomic structure:
Unit cell a=7.9538 b=7.9538 c=7.9538 alpha=90.00 beta=90.00 gamma=90.00
Space group Fm-3m (No. 225)
Symmetry-distinct sites (fractional):
Pr (0.0000, 0.0000, 0.0000)
Pr (0.2500, 0.2500, 0.2500)
Sn (0.0000, 0.0000, 0.5000)

Most intense lines, 15° ≤ 2θ ≤ 90°, in order of rising 2θ:
2θ 31.82, rel. 100, hkl 2 2 0; 2θ 45.62, rel. 19, hkl 4 0 0; 2θ 56.70, rel. 39, hkl 4 2 2; 2θ 66.50, rel. 12, hkl 4 4 0; 2θ 75.61, rel. 17, hkl 6 2 0; 2θ 84.37, rel. 4, hkl 4 4 4

***

(3)
Tb2Pr3Sn4: calculated powder diffractogram (Cu Kα), based on a cell relaxed with PBE.
Lines closer than 0.1° are merged.

Atomic structure:
Unit cell a=11.6644 b=4.8788 c=10.1067 alpha=90.00 beta=96.23 gamma=90.00
Space group C2/m (No. 12)
Symmetry-distinct sites (fractional):
Tb (0.1795, 0.0000, 0.3020)
Pr (0.0000, 0.5000, 0.5000)
Pr (0.1272, 0.0000, 0.9106)
Sn (0.0835, 0.5000, 0.1301)
Sn (0.1598, 0.0000, 0.6065)

Most intense lines, 15° ≤ 2θ ≤ 90°, in order of rising 2θ:
2θ 26.03, rel. 27, hkl 1 1 -2; 2θ 29.31, rel. 53, hkl 2 0 -3; 2θ 29.48, rel. 99, hkl 3 1 0; 2θ 31.56, rel. 40, hkl 3 1 1; 2θ 34.04, rel. 100, hkl 1 1 3; 2θ 36.85, rel. 51, hkl 0 2 0; 2θ 38.33, rel. 17, hkl 3 1 -3; 2θ 47.76, rel. 28, hkl 2 2 -3; 2θ 49.00, rel. 21, hkl 5 1 -3; 2θ 64.59, rel. 16, hkl 1 3 3

***

(4)
Tb3PrSn3: calculated powder diffractogram (Cu Kα), based on a cell relaxed with PBE.
Lines closer than 0.1° are merged.

Atomic structure:
Unit cell a=9.3086 b=9.3086 c=5.3961 alpha=90.00 beta=90.00 gamma=120.00
Space group P6_3/m (No. 176)
Symmetry-distinct sites (fractional):
Tb (0.0012, 0.7619, 0.2500)
Pr (0.3333, 0.6667, 0.2500)
Sn (0.0727, 0.6238, 0.7500)

Most intense lines, 15° ≤ 2θ ≤ 90°, in order of rising 2θ:
2θ 27.62, rel. 7, hkl 2 0 1; 2θ 29.31, rel. 21, hkl 1 2 0; 2θ 33.21, rel. 27, hkl 0 0 2; 2θ 33.78, rel. 100, hkl 1 2 1; 2θ 44.87, rel. 13, hkl 1 2 2; 2θ 51.98, rel. 13, hkl 4 1 0; 2θ 52.29, rel. 7, hkl 3 2 1; 2θ 59.70, rel. 20, hkl 1 2 3; 2θ 60.76, rel. 7, hkl 2 4 0; 2θ 63.09, rel. 14, hkl 4 1 2

***

(5)
Tb4PrSn4: calculated powder diffractogram (Cu Kα), based on a cell relaxed with PBE.
Lines closer than 0.1° are merged.

Atomic structure:
Unit cell a=9.9310 b=9.9310 c=6.1653 alpha=90.00 beta=90.00 gamma=90.00
Space group P4_2/n (No. 86, origin choice 2)
Symmetry-distinct sites (fractional):
Tb (0.0953, 0.6472, 0.1407)
Pr (0.2500, 0.2500, 0.2500)
Sn (0.0374, 0.6117, 0.6500)

Most intense lines, 15° ≤ 2θ ≤ 90°, in order of rising 2θ:
2θ 16.93, rel. 17, hkl 1 0 1; 2θ 28.42, rel. 100, hkl 1 3 0; 2θ 30.36, rel. 57, hkl 1 0 2; 2θ 35.70, rel. 31, hkl 2 3 1; 2θ 39.96, rel. 41, hkl 3 0 2; 2θ 40.20, rel. 16, hkl 4 1 1; 2θ 40.63, rel. 27, hkl 4 2 0; 2θ 44.09, rel. 23, hkl 3 2 2; 2θ 47.93, rel. 16, hkl 1 4 2; 2θ 67.75, rel. 16, hkl 7 0 1

***

(6)
TbPr2Sn2: calculated powder diffractogram (Cu Kα), based on a cell relaxed with PBE.
Lines closer than 0.1° are merged.

Atomic structure:
Unit cell a=12.9150 b=4.8134 c=11.3525 alpha=90.00 beta=116.84 gamma=90.00
Space group C2/m (No. 12)
Symmetry-distinct sites (fractional):
Tb (0.2139, 0.0000, 0.3564)
Pr (0.0115, 0.5000, 0.6801)
Pr (0.1829, 0.5000, 0.0923)
Sn (0.0347, 0.0000, 0.8905)
Sn (0.1280, 0.0000, 0.5735)

Most intense lines, 15° ≤ 2θ ≤ 90°, in order of rising 2θ:
2θ 27.86, rel. 62, hkl 3 1 -1; 2θ 28.72, rel. 38, hkl 3 1 -2; 2θ 28.95, rel. 76, hkl 1 1 2; 2θ 30.34, rel. 59, hkl 1 1 -3; 2θ 32.15, rel. 83, hkl 3 1 -3; 2θ 34.01, rel. 100, hkl 3 1 1; 2θ 35.06, rel. 25, hkl 4 0 -4; 2θ 35.45, rel. 28, hkl 0 0 4; 2θ 37.36, rel. 68, hkl 0 2 0; 2θ 64.11, rel. 28, hkl 4 2 3

***

(7)
Tb5PrSn4: calculated powder diffractogram (Cu Kα), based on a cell relaxed with PBE.
Lines closer than 0.1° are merged.

Atomic structure:
Unit cell a=17.9883 b=4.4528 c=8.1552 alpha=90.00 beta=102.62 gamma=90.00
Space group C2/m (No. 12)
Symmetry-distinct sites (fractional):
Tb (0.0000, 0.0000, 0.0000)
Tb (0.1391, 0.5000, 0.2233)
Tb (0.2048, 0.5000, 0.8019)
Pr (0.0000, 0.0000, 0.5000)
Sn (0.0367, 0.5000, 0.7833)
Sn (0.1896, 0.0000, 0.5092)

Most intense lines, 15° ≤ 2θ ≤ 90°, in order of rising 2θ:
2θ 25.13, rel. 24, hkl 3 1 0; 2θ 28.91, rel. 27, hkl 3 1 1; 2θ 29.71, rel. 100, hkl 1 1 -2; 2θ 30.16, rel. 38, hkl 6 0 -1; 2θ 30.56, rel. 22, hkl 6 0 0; 2θ 31.38, rel. 43, hkl 1 1 2; 2θ 36.30, rel. 98, hkl 5 1 -2; 2θ 40.52, rel. 44, hkl 0 2 0; 2θ 49.46, rel. 24, hkl 6 0 -4; 2θ 51.32, rel. 25, hkl 6 2 -1

***

(8)
Pr3SnTe: calculated powder diffractogram (Cu Kα), based on a cell relaxed with PBE.
Lines closer than 0.1° are merged.

Atomic structure:
Unit cell a=4.4580 b=9.3088 c=10.9026 alpha=108.87 beta=90.06 gamma=103.82
Space group P-1 (No. 2)
Symmetry-distinct sites (fractional):
Pr (0.0187, 0.0369, 0.1753)
Pr (0.1762, 0.3511, 0.5569)
Pr (0.3472, 0.6944, 0.9493)
Sn (0.3635, 0.7276, 0.6589)
Te (0.1603, 0.3218, 0.8377)

Most intense lines, 15° ≤ 2θ ≤ 90°, in order of rising 2θ:
2θ 16.92, rel. 30, hkl 0 1 -2; 2θ 21.66, rel. 55, hkl 1 -1 1; 2θ 23.02, rel. 57, hkl 1 0 1; 2θ 31.49, rel. 63, hkl 0 3 0; 2θ 31.92, rel. 100, hkl 1 0 -3; 2θ 31.98, rel. 69, hkl 1 -1 3; 2θ 33.08, rel. 33, hkl 1 -3 0; 2θ 36.48, rel. 45, hkl 1 2 1; 2θ 40.45, rel. 61, hkl 2 -1 0; 2θ 42.82, rel. 58, hkl 1 3 -3

***

(9)
PrSn2Te3: calculated powder diffractogram (Cu Kα), based on a cell relaxed with PBE.
Lines closer than 0.1° are merged.

Atomic structure:
Unit cell a=9.1659 b=4.3529 c=12.5313 alpha=90.00 beta=109.43 gamma=90.00
Space group P2_1/m (No. 11)
Symmetry-distinct sites (fractional):
Pr (0.1998, 0.2500, 0.1815)
Sn (0.2422, 0.7500, 0.4838)
Sn (0.4977, 0.2500, 0.9084)
Te (0.0296, 0.2500, 0.3604)
Te (0.1694, 0.7500, 0.9886)
Te (0.4400, 0.7500, 0.3284)

Most intense lines, 15° ≤ 2θ ≤ 90°, in order of rising 2θ:
2θ 22.99, rel. 45, hkl 1 1 -1; 2θ 25.16, rel. 100, hkl 1 1 1; 2θ 29.34, rel. 82, hkl 1 1 2; 2θ 29.77, rel. 44, hkl 1 1 -3; 2θ 30.44, rel. 66, hkl 2 0 -4; 2θ 35.29, rel. 67, hkl 1 1 -4; 2θ 36.04, rel. 79, hkl 2 1 2; 2θ 36.24, rel. 37, hkl 3 1 -2; 2θ 41.49, rel. 52, hkl 0 2 0; 2θ 45.65, rel. 42, hkl 4 1 -3

***

(10)
Pr7SnTe5: calculated powder diffractogram (Cu Kα), based on a cell relaxed with PBE.
Lines closer than 0.1° are merged.

Atomic structure:
Unit cell a=14.7391 b=4.4873 c=26.5217 alpha=90.00 beta=90.02 gamma=90.00
Space group C2/m (No. 12)
Symmetry-distinct sites (fractional):
Pr (0.0368, 0.0000, 0.2500)
Pr (0.0942, 0.5000, 0.1213)
Pr (0.0939, 0.5000, 0.3788)
Pr (0.1398, 0.0000, 0.5377)
Pr (0.1397, 0.0000, 0.9623)
Pr (0.1952, 0.5000, 0.6822)
Pr (0.1949, 0.5000, 0.8178)
Sn (0.1900, 0.5000, 0.2499)
Te (0.0000, 0.5000, 0.0000)
Te (0.0000, 0.5000, 0.5000)
Te (0.0543, 0.0000, 0.6451)
Te (0.0539, 0.0000, 0.8550)
Te (0.2221, 0.0000, 0.0733)
Te (0.2219, 0.0000, 0.4267)

Most intense lines, 15° ≤ 2θ ≤ 90°, in order of rising 2θ:
2θ 26.45, rel. 57, hkl 2 0 7; 2θ 27.12, rel. 34, hkl 3 1 1; 2θ 27.75, rel. 100, hkl 3 1 2; 2θ 28.78, rel. 63, hkl 3 1 -3; 2θ 29.55, rel. 39, hkl 2 0 8; 2θ 37.00, rel. 47, hkl 1 1 9; 2θ 39.96, rel. 24, hkl 1 1 -10; 2θ 40.19, rel. 40, hkl 0 2 0; 2θ 40.36, rel. 36, hkl 5 1 5; 2θ 40.47, rel. 28, hkl 6 0 -5

***

(11)
Pr5Sn2Te: calculated powder diffractogram (Cu Kα), based on a cell relaxed with PBE.
Lines closer than 0.1° are merged.

Atomic structure:
Unit cell a=5.9508 b=9.7203 c=18.1420 alpha=90.00 beta=90.00 gamma=90.00
Space group Cmcm (No. 63)
Symmetry-distinct sites (fractional):
Pr (0.0000, 0.0903, 0.0923)
Pr (0.0000, 0.3206, 0.7500)
Pr (0.0000, 0.4094, 0.0853)
Sn (0.0000, 0.2462, 0.5748)
Te (0.0000, 0.3018, 0.2500)

Most intense lines, 15° ≤ 2θ ≤ 90°, in order of rising 2θ:
2θ 29.54, rel. 61, hkl 0 0 6; 2θ 30.03, rel. 62, hkl 2 0 0; 2θ 31.83, rel. 25, hkl 1 3 1; 2θ 34.84, rel. 100, hkl 1 3 3; 2θ 40.28, rel. 11, hkl 1 3 5; 2θ 42.63, rel. 45, hkl 2 0 6; 2θ 55.90, rel. 23, hkl 1 3 9; 2θ 56.48, rel. 25, hkl 3 3 3; 2θ 70.55, rel. 11, hkl 4 0 6; 2θ 73.01, rel. 11, hkl 3 3 9

***

(12)
PrTl2SnTe4: calculated powder diffractogram (Cu Kα), based on a cell relaxed with PBE.
Lines closer than 0.1° are merged.

Atomic structure:
Unit cell a=8.0426 b=4.4923 c=8.3715 alpha=90.00 beta=108.54 gamma=90.00
Space group P2/m (No. 10)
Symmetry-distinct sites (fractional):
Pr (0.0000, 0.0000, 0.0000)
Tl (0.0000, 0.5000, 0.5000)
Tl (0.5000, 0.0000, 0.5000)
Sn (0.5000, 0.5000, 0.0000)
Te (0.2467, 0.5000, 0.2231)
Te (0.2614, 0.0000, 0.7783)

Most intense lines, 15° ≤ 2θ ≤ 90°, in order of rising 2θ:
2θ 26.78, rel. 52, hkl 2 0 -2; 2θ 27.21, rel. 100, hkl 1 1 1; 2θ 37.55, rel. 20, hkl 2 0 2; 2θ 37.97, rel. 39, hkl 1 1 -3; 2θ 39.13, rel. 39, hkl 3 1 -1; 2θ 40.15, rel. 18, hkl 0 2 0; 2θ 45.73, rel. 11, hkl 0 0 4; 2θ 47.71, rel. 11, hkl 4 0 0; 2θ 48.92, rel. 20, hkl 2 2 -2; 2θ 56.14, rel. 13, hkl 2 2 2

***

(13)
Pr2Th3Sn4: calculated powder diffractogram (Cu Kα), based on a cell relaxed with PBE.
Lines closer than 0.1° are merged.

Atomic structure:
Unit cell a=8.6579 b=8.5303 c=8.3347 alpha=90.00 beta=112.98 gamma=90.00
Space group P2_1/c (No. 14)
Symmetry-distinct sites (fractional):
Pr (0.2027, 0.1740, 0.0580)
Th (0.2416, 0.6717, 0.2233)
Th (0.5000, 0.0000, 0.5000)
Sn (0.0847, 0.5281, 0.8241)
Sn (0.4894, 0.1308, 0.8694)

Most intense lines, 15° ≤ 2θ ≤ 90°, in order of rising 2θ:
2θ 23.86, rel. 30, hkl 1 1 -2; 2θ 28.29, rel. 30, hkl 1 2 1; 2θ 29.54, rel. 95, hkl 2 2 -1; 2θ 30.05, rel. 50, hkl 1 2 -2; 2θ 30.70, rel. 56, hkl 2 2 0; 2θ 31.37, rel. 76, hkl 1 1 2; 2θ 32.66, rel. 32, hkl 3 0 -2; 2θ 33.61, rel. 37, hkl 0 3 1; 2θ 33.73, rel. 26, hkl 3 0 0; 2θ 34.01, rel. 100, hkl 1 1 -3